Entry 1:
Theoretical powder diffraction line list of HfMg14Ni for Cu Kα X-rays, from DFT lattice parameters and positions (PBE).
Intensities are scaled so that the largest is 100.

Peak list (10 most intense, 2θ from 10° to 90°, by intensity)
2θ = 38.00°, 2.368 Å, rel. 100.0; 2θ = 36.97°, 2.432 Å, rel. 63.0; 2θ = 33.40°, 2.683 Å, rel. 54.6; 2θ = 18.24°, 4.863 Å, rel. 43.2; 2θ = 35.70°, 2.515 Å, rel. 40.2; 2θ = 15.95°, 5.555 Å, rel. 32.2; 2θ = 18.74°, 4.736 Å, rel. 24.5; 2θ = 17.63°, 5.030 Å, rel. 24.4; 2θ = 49.68°, 1.835 Å, rel. 23.6; 2θ = 70.18°, 1.341 Å, rel. 20.9

Structural model:
Cell: 10.0604 6.3452 6.3452 Å, 57.79 90.00 90.00°
Fractional positions:
Hf  0.0000  0.0000  0.0000
Mg  0.0000  0.0123  0.4882
Mg  0.0000  0.4882  0.0123
Mg  0.2242  0.6397  0.6397
Mg  0.2403  0.1557  0.6517
Mg  0.2403  0.6517  0.1557
Mg  0.2542  0.1508  0.1508
Mg  0.5000  0.4882  0.4882
Mg  0.5000  0.4913  0.9843
Mg  0.5000  0.9843  0.4913
Mg  0.5000  0.9860  0.9860
Mg  0.7458  0.1508  0.1508
Mg  0.7597  0.1557  0.6517
Mg  0.7597  0.6517  0.1557
Mg  0.7758  0.6397  0.6397
Ni  0.0000  0.4780  0.4780


Entry 2:
Theoretical powder diffraction line list of Li2HfO3 for Cu Kα X-rays, from DFT lattice parameters and positions (PBE).
Intensities are scaled so that the largest is 100.

Peak list (10 most intense, 2θ from 10° to 90°, by intensity)
2θ = 23.13°, 3.845 Å, rel. 100.0; 2θ = 18.41°, 4.820 Å, rel. 93.8; 2θ = 33.22°, 2.697 Å, rel. 26.5; 2θ = 33.91°, 2.644 Å, rel. 26.3; 2θ = 27.82°, 3.207 Å, rel. 22.6; 2θ = 35.19°, 2.550 Å, rel. 22.0; 2θ = 36.64°, 2.452 Å, rel. 21.3; 2θ = 36.32°, 2.473 Å, rel. 21.1; 2θ = 45.04°, 2.013 Å, rel. 17.7; 2θ = 43.15°, 2.096 Å, rel. 17.4

Structural model:
Cell: 9.6413 4.1927 3.2080 Å, 90.00 91.24 90.00°
Fractional positions:
Li  0.1567  0.0000  0.0072
Li  0.3433  0.5000  0.9928
Li  0.6567  0.5000  0.0072
Li  0.8433  0.0000  0.9928
Hf  0.0000  0.5000  0.5000
Hf  0.5000  0.0000  0.5000
O  0.0000  0.0000  0.5000
O  0.1402  0.5000  0.0093
O  0.3598  0.0000  0.9907
O  0.5000  0.5000  0.5000
O  0.6402  0.0000  0.0093
O  0.8598  0.5000  0.9907


Copy entry 2 word for word.
Theoretical powder diffraction line list of Li2HfO3 for Cu Kα X-rays, from DFT lattice parameters and positions (PBE).
Intensities are scaled so that the largest is 100.

Peak list (10 most intense, 2θ from 10° to 90°, by intensity)
2θ = 23.13°, 3.845 Å, rel. 100.0; 2θ = 18.41°, 4.820 Å, rel. 93.8; 2θ = 33.22°, 2.697 Å, rel. 26.5; 2θ = 33.91°, 2.644 Å, rel. 26.3; 2θ = 27.82°, 3.207 Å, rel. 22.6; 2θ = 35.19°, 2.550 Å, rel. 22.0; 2θ = 36.64°, 2.452 Å, rel. 21.3; 2θ = 36.32°, 2.473 Å, rel. 21.1; 2θ = 45.04°, 2.013 Å, rel. 17.7; 2θ = 43.15°, 2.096 Å, rel. 17.4

Structural model:
Cell: 9.6413 4.1927 3.2080 Å, 90.00 91.24 90.00°
Fractional positions:
Li  0.1567  0.0000  0.0072
Li  0.3433  0.5000  0.9928
Li  0.6567  0.5000  0.0072
Li  0.8433  0.0000  0.9928
Hf  0.0000  0.5000  0.5000
Hf  0.5000  0.0000  0.5000
O  0.0000  0.0000  0.5000
O  0.1402  0.5000  0.0093
O  0.3598  0.0000  0.9907
O  0.5000  0.5000  0.5000
O  0.6402  0.0000  0.0093
O  0.8598  0.5000  0.9907